Calculated X-ray powder pattern of Tb8Dy3Er4 for copper Kα, from a DFT-relaxed cell (GGA-PBE, Alexandria).
No peak broadening, texture or thermal motion is included.

The 10 most intense peaks (15 to 90 degrees two-theta), in order of rising 2θ:
- 26.97 deg, rel. 18
- 30.08 deg, rel. 30
- 30.60 deg, rel. 58
- 31.67 deg, rel. 100
- 36.42 deg, rel. 73
- 51.75 deg, rel. 23
- 53.15 deg, rel. 38
- 61.32 deg, rel. 17
- 62.58 deg, rel. 46
- 87.55 deg, rel. 19

Crystal structure
Cell: 12.347 12.347 12.347 Å, 32.42 32.42 32.42°
Element x y z (fractional)
1 Tb 0.245 0.245 0.245
2 Tb 0.248 0.751 0.751
3 Tb 0.249 0.249 0.752
4 Tb 0.249 0.752 0.249
5 Tb 0.751 0.248 0.751
6 Tb 0.751 0.751 0.248
7 Tb 0.752 0.249 0.249
8 Tb 0.755 0.755 0.755
9 Dy 0.000 0.000 0.500
10 Dy 0.000 0.500 0.000
11 Dy 0.500 0.000 0.000
12 Er 0.000 0.000 0.000
13 Er 0.336 0.336 0.336
14 Er 0.500 0.500 0.500
15 Er 0.664 0.664 0.664